(1)
Simulated X-ray diffraction stick pattern
Compound: NaP4Pd6
Radiation: copper Kα
Structure: the GGA-PBE geometry in Alexandria
Peak positions follow from Bragg's law for the DFT cell and can differ from measured ones.

Structural model:
Cell: 7.2522 7.2522 3.7129 Å, 90.00 90.00 120.00°
Space group P-6m2 (No. 187)
One atom of each set of equivalent atoms:
Na1 0.0000 0.0000 0.0000
P1 0.3333 0.6667 0.0000
P2 0.3638 0.1819 0.5000
Pd1 0.1955 0.3910 0.5000
Pd2 0.5362 0.0725 0.0000

Main lines, by angle (10 to 90 degrees two-theta):
- 2θ = 14.10°, intensity 31, hkl 1 0 0
- 2θ = 27.92°, intensity 35, hkl 1 0 1
- 2θ = 37.51°, intensity 100, hkl 2 0 1
- 2θ = 37.90°, intensity 19, hkl 2 1 0
- 2θ = 43.21°, intensity 33, hkl 3 0 0
- 2θ = 45.34°, intensity 52, hkl 2 1 1
- 2θ = 49.07°, intensity 19, hkl 0 0 2
- 2θ = 50.33°, intensity 21, hkl 2 2 0
- 2θ = 67.42°, intensity 17, hkl 3 0 2
- 2θ = 70.05°, intensity 19, hkl 3 2 1

(2)
Simulated X-ray diffraction stick pattern
Compound: NaPPd3
Radiation: copper Kα
Structure: the GGA-PBE geometry in Alexandria
Peak positions follow from Bragg's law for the DFT cell and can differ from measured ones.

Structural model:
Cell: 5.7833 5.7833 3.0411 Å, 90.00 90.00 120.00°
Space group P-6m2 (No. 187)
One atom of each set of equivalent atoms:
Na1 0.0000 0.0000 0.0000
P1 0.3333 0.6667 0.0000
Pd1 0.5085 0.0170 0.5000

Main lines, by angle (10 to 90 degrees two-theta):
- 2θ = 17.71°, intensity 55, hkl 1 0 0
- 2θ = 29.37°, intensity 38, hkl 0 0 1
- 2θ = 34.50°, intensity 33, hkl 1 0 1
- 2θ = 35.86°, intensity 100, hkl 2 0 0
- 2θ = 43.17°, intensity 27, hkl 1 1 1
- 2θ = 47.01°, intensity 82, hkl 2 0 1
- 2θ = 64.44°, intensity 21, hkl 2 2 0
- 2θ = 72.37°, intensity 15, hkl 2 2 1
- 2θ = 72.76°, intensity 24, hkl 2 0 2
- 2θ = 83.49°, intensity 14, hkl 4 0 1

(3)
Simulated X-ray diffraction stick pattern
Compound: Na2P6Pd21
Radiation: copper Kα
Structure: the GGA-PBE geometry in Alexandria
Peak positions follow from Bragg's law for the DFT cell and can differ from measured ones.

Structural model:
Cell: 12.143 12.143 12.143 Å, 90.00 90.00 90.00°
Space group Fm-3m (No. 225)
One atom of each set of equivalent atoms:
Na1 0.250 0.250 0.250
P1 0.000 0.000 0.236
Pd1 0.000 0.000 0.500
Pd2 0.000 0.171 0.329
Pd3 0.115 0.115 0.115

Main lines, by angle (10 to 90 degrees two-theta):
- 2θ = 20.69°, intensity 9, hkl 2 2 0
- 2θ = 36.24°, intensity 12, hkl 4 2 2
- 2θ = 38.52°, intensity 100, hkl 3 3 3
- 2θ = 42.10°, intensity 18, hkl 4 4 0
- 2θ = 44.12°, intensity 29, hkl 5 3 1
- 2θ = 44.78°, intensity 21, hkl 6 0 0
- 2θ = 65.19°, intensity 19, hkl 6 6 0
- 2θ = 66.71°, intensity 14, hkl 5 5 5
- 2θ = 76.93°, intensity 14, hkl 8 4 4
- 2θ = 78.35°, intensity 10, hkl 9 3 3

(4)
Simulated X-ray diffraction stick pattern
Compound: NaPmP2Pd5
Radiation: copper Kα
Structure: the GGA-PBE geometry in Alexandria
Peak positions follow from Bragg's law for the DFT cell and can differ from measured ones.

Structural model:
Cell: 4.194 4.194 8.787 Å, 90.00 90.00 90.00°
Space group P4/mmm (No. 123)
One atom of each set of equivalent atoms:
Na1 0.000 0.000 0.000
Pm1 0.000 0.000 0.500
P1 0.500 0.500 0.123
Pd1 0.000 0.500 0.258
Pd2 0.500 0.500 0.500

Main lines, by angle (10 to 90 degrees two-theta):
- 2θ = 10.07°, intensity 43, hkl 0 0 1
- 2θ = 36.56°, intensity 100, hkl 1 1 2
- 2θ = 41.09°, intensity 15, hkl 0 0 4
- 2θ = 43.14°, intensity 37, hkl 2 0 0
- 2θ = 43.42°, intensity 14, hkl 1 1 3
- 2θ = 61.09°, intensity 18, hkl 2 0 4
- 2θ = 62.66°, intensity 12, hkl 2 2 0
- 2θ = 71.90°, intensity 12, hkl 1 1 6
- 2θ = 74.78°, intensity 24, hkl 3 1 2
- 2θ = 77.70°, intensity 9, hkl 2 2 4

(5)
Simulated X-ray diffraction stick pattern
Compound: NaP2Pd5Rh
Radiation: copper Kα
Structure: the GGA-PBE geometry in Alexandria
Peak positions follow from Bragg's law for the DFT cell and can differ from measured ones.

Structural model:
Cell: 4.410 4.410 9.162 Å, 90.00 90.00 90.00°
Space group P4/mmm (No. 123)
One atom of each set of equivalent atoms:
Na1 0.000 0.000 0.000
P1 0.500 0.500 0.246
Pd1 0.000 0.500 0.309
Pd2 0.500 0.500 0.000
Rh1 0.500 0.500 0.500

Main lines, by angle (10 to 90 degrees two-theta):
- 2θ = 20.14°, intensity 54, hkl 1 0 0
- 2θ = 29.24°, intensity 27, hkl 0 0 3
- 2θ = 30.28°, intensity 20, hkl 1 1 1
- 2θ = 34.80°, intensity 100, hkl 1 1 2
- 2θ = 40.93°, intensity 69, hkl 2 0 0
- 2θ = 41.38°, intensity 33, hkl 1 1 3
- 2θ = 51.09°, intensity 22, hkl 2 0 3
- 2θ = 58.42°, intensity 18, hkl 1 1 5
- 2θ = 59.27°, intensity 22, hkl 2 2 0
- 2θ = 70.61°, intensity 24, hkl 3 1 2

(6)
Simulated X-ray diffraction stick pattern
Compound: NaSmP2Pt2
Radiation: copper Kα
Structure: the GGA-PBE geometry in Alexandria
Peak positions follow from Bragg's law for the DFT cell and can differ from measured ones.

Structural model:
Cell: 4.0464 4.0464 8.6377 Å, 90.00 90.00 120.00°
Space group P-3m1 (No. 164)
One atom of each set of equivalent atoms:
Na1 0.0000 0.0000 0.0000
Sm1 0.0000 0.0000 0.5000
P1 0.3333 0.6667 0.2717
Pt1 0.3333 0.6667 0.7477

Main lines, by angle (10 to 90 degrees two-theta):
- 2θ = 10.24°, intensity 31, hkl 0 0 1
- 2θ = 20.56°, intensity 25, hkl 0 0 2
- 2θ = 27.47°, intensity 92, hkl 0 1 1
- 2θ = 32.91°, intensity 100, hkl 1 0 2
- 2θ = 40.55°, intensity 37, hkl 1 0 3
- 2θ = 41.83°, intensity 20, hkl 0 0 4
- 2θ = 44.80°, intensity 52, hkl 1 1 0
- 2θ = 56.70°, intensity 21, hkl 0 2 2
- 2θ = 62.95°, intensity 37, hkl 1 1 4
- 2θ = 75.01°, intensity 18, hkl 2 1 2

(7)
Simulated X-ray diffraction stick pattern
Compound: NaTl2P2Pt7
Radiation: copper Kα
Structure: the GGA-PBE geometry in Alexandria
Peak positions follow from Bragg's law for the DFT cell and can differ from measured ones.

Structural model:
Cell: 5.668 5.652 14.008 Å, 90.00 94.58 90.00°
Space group C2/m (No. 12)
One atom of each set of equivalent atoms:
Na1 0.000 0.000 0.000
Tl1 0.071 0.000 0.394
P1 0.047 0.500 0.239
Pt1 0.000 0.500 0.000
Pt2 0.062 0.500 0.404
Pt3 0.220 0.250 0.849

Main lines, by angle (10 to 90 degrees two-theta):
- 2θ = 25.52°, intensity 76, hkl 0 0 4
- 2θ = 32.05°, intensity 50, hkl 0 0 5
- 2θ = 32.32°, intensity 64, hkl 0 2 1
- 2θ = 35.21°, intensity 66, hkl 2 0 2
- 2θ = 35.84°, intensity 75, hkl 2 0 -3
- 2θ = 37.22°, intensity 88, hkl 0 2 3
- 2θ = 45.41°, intensity 100, hkl 2 2 0
- 2θ = 45.67°, intensity 33, hkl 0 2 5
- 2θ = 50.79°, intensity 50, hkl 0 2 6
- 2θ = 51.40°, intensity 38, hkl 2 2 -4

(8)
Simulated X-ray diffraction stick pattern
Compound: NaTmP2Pt4
Radiation: copper Kα
Structure: the GGA-PBE geometry in Alexandria
Peak positions follow from Bragg's law for the DFT cell and can differ from measured ones.

Structural model:
Cell: 4.011 4.011 9.861 Å, 90.00 90.00 90.00°
Space group P4/mmm (No. 123)
One atom of each set of equivalent atoms:
Na1 0.000 0.000 0.000
Tm1 0.000 0.000 0.500
P1 0.500 0.500 0.161
Pt1 0.000 0.500 0.285

Main lines, by angle (10 to 90 degrees two-theta):
- 2θ = 17.99°, intensity 54, hkl 0 0 2
- 2θ = 31.55°, intensity 26, hkl 1 1 0
- 2θ = 36.45°, intensity 14, hkl 0 0 4
- 2θ = 36.55°, intensity 100, hkl 1 1 2
- 2θ = 42.08°, intensity 42, hkl 1 1 3
- 2θ = 45.21°, intensity 39, hkl 2 0 0
- 2θ = 49.01°, intensity 23, hkl 2 0 2
- 2θ = 59.41°, intensity 14, hkl 2 0 4
- 2θ = 66.49°, intensity 16, hkl 2 0 5
- 2θ = 77.73°, intensity 29, hkl 3 1 2